Structure and calculated XRD peak list of NaCaH6Ir (a cell relaxed with GGA-PBE; Cu Kα (λ = 1.5418 Å)).

```
data_NaCaH6Ir
_chemical_formula_sum 'Na4 Ca4 H24 Ir4'
_space_group_name_H-M_alt 'F -4 3 m'
_space_group_IT_number 216
_space_group_name_Hall 'F -4 2 3'
_cell_length_a 7.226
_cell_length_b 7.226
_cell_length_c 7.226
_cell_angle_alpha 90.00
_cell_angle_beta 90.00
_cell_angle_gamma 90.00
loop_
_atom_site_label
_atom_site_fract_x
_atom_site_fract_y
_atom_site_fract_z
Na1 0.000 0.000 0.000
Ca1 0.000 0.000 0.500
H1 0.017 0.250 0.750
Ir1 0.250 0.250 0.750
```

Largest 8 diffraction maxima, low angle first, 15° ≤ 2θ ≤ 90°:
- (1 1 1), 2θ 21.30, I = 100.0
- (2 0 0), 2θ 24.64, I = 22.1
- (2 2 0), 2θ 35.13, I = 75.0
- (3 1 1), 2θ 41.44, I = 53.6
- (3 3 1), 2θ 55.42, I = 23.0
- (4 2 2), 2θ 63.02, I = 27.1
- (5 1 1), 2θ 67.33, I = 17.4
- (5 3 1), 2θ 78.27, I = 17.2

---

Structure and calculated XRD peak list of K2Ca2MgH2S4O16 (a cell relaxed with GGA-PBE; Cu Kα (λ = 1.5418 Å)).

```
data_K2Ca2MgH2S4O16
_chemical_formula_sum 'K2 Ca2 Mg1 H2 S4 O16'
_space_group_name_H-M_alt 'P -1'
_space_group_IT_number 2
_space_group_name_Hall '-P 1'
_cell_length_a 6.964
_cell_length_b 6.994
_cell_length_c 8.936
_cell_angle_alpha 100.05
_cell_angle_beta 104.62
_cell_angle_gamma 113.97
loop_
_atom_site_label
_atom_site_fract_x
_atom_site_fract_y
_atom_site_fract_z
K1 0.213 0.481 0.434
Ca1 0.375 0.136 0.752
Mg1 0.000 0.000 0.000
H1 0.038 0.333 0.081
S1 0.187 0.947 0.358
S2 0.435 0.687 0.859
O1 0.012 0.972 0.231
O2 0.076 0.821 0.456
O3 0.281 0.829 0.270
O4 0.311 0.771 0.751
O5 0.328 0.129 0.042
O6 0.331 0.623 0.979
O7 0.362 0.170 0.468
O8 0.446 0.504 0.756
```

Largest 8 diffraction maxima, low angle first, 15° ≤ 2θ ≤ 90°:
- (-1 1 1), 2θ 18.17, I = 13.5
- (1 0 1), 2θ 21.41, I = 15.5
- (1 -2 0), 2θ 25.89, I = 26.7
- (2 0 -1), 2θ 28.02, I = 100.0
- (-1 2 1), 2θ 29.59, I = 14.6
- (0 1 2), 2θ 29.85, I = 18.4
- (2 -2 0), 2θ 30.62, I = 98.8
- (0 1 -3), 2θ 31.37, I = 31.8

---

Structure and calculated XRD peak list of KCaH6N3 (a cell relaxed with GGA-PBE; Cu Kα (λ = 1.5418 Å)).

```
data_KCaH6N3
_chemical_formula_sum 'K4 Ca4 H24 N12'
_space_group_name_H-M_alt 'P 1 21/c 1'
_space_group_IT_number 14
_space_group_name_Hall '-P 2ybc'
_cell_length_a 6.684
_cell_length_b 11.871
_cell_length_c 6.612
_cell_angle_alpha 90.00
_cell_angle_beta 106.56
_cell_angle_gamma 90.00
loop_
_atom_site_label
_atom_site_fract_x
_atom_site_fract_y
_atom_site_fract_z
K1 0.238 0.092 0.133
Ca1 0.318 0.738 0.584
H1 0.020 0.608 0.845
H2 0.081 0.216 0.797
H3 0.156 0.572 0.232
H4 0.282 0.170 0.595
H5 0.375 0.511 0.324
H6 0.463 0.083 0.587
N1 0.060 0.676 0.767
N2 0.304 0.586 0.332
N3 0.431 0.168 0.579
```

Largest 8 diffraction maxima, low angle first, 15° ≤ 2θ ≤ 90°:
- (1 1 0), 2θ 15.72, I = 42.0
- (0 1 1), 2θ 15.85, I = 46.2
- (1 3 0), 2θ 26.47, I = 100.0
- (2 2 -1), 2θ 31.33, I = 77.5
- (0 4 1), 2θ 33.33, I = 51.0
- (1 0 2), 2θ 34.99, I = 52.7
- (0 3 2), 2θ 36.32, I = 83.0
- (2 2 -2), 2θ 36.99, I = 38.8

---

Q: Which formula does entry 3 have?
A: KCaH6N3